The following is a computed powder X-ray diffraction pattern of LiVAsCO7. It was derived from a DFT-relaxed cell (GGA+U, the Materials Project), using a wavelength of 1.5418 Å.
Neutral-atom scattering factors, no anomalous dispersion.

Structure:
Lattice parameters (Å, degrees): 5.5106 6.4298 8.9232 90.00 92.98 90.00
Space group P2_1 (No. 4)
Symmetry-distinct sites (fractional):
Li: 0.2471 0.0000 0.3328
V: 0.2063 0.6555 0.8262
As: 0.2873 0.1533 0.9426
C: 0.2665 0.6792 0.5591
O: 0.0518 0.6533 0.6202
O: 0.1347 0.1416 0.1044
O: 0.2060 0.3581 0.8274
O: 0.2060 0.9439 0.8296
O: 0.2952 0.7311 0.4283
O: 0.4053 0.6500 0.0193
O: 0.4456 0.6524 0.6647

Principal peaks in the range 2θ = 15–90°, sorted by position:
h k l  two_theta  I_rel
0 1 1  17.0  44
1 0 -1  18.5  81
1 0 1  19.4  49
1 1 -1  23.1  32
1 1 1  23.9  97
1 0 -2  25.1  68
0 2 0  27.7  100
1 1 2  29.9  37
2 0 0  32.5  37
2 0 -1  33.6  48